Calculated X-ray diffraction stick pattern
Compound: Al4W25
Radiation: Cu Kα, 1.54184 Å
Structure: a DFT-relaxed cell (PBE, OQMD)

Most intense lines, 2θ = 10–90°, by angle:
2theta  I (rel.)  hkl
22.00  171  2 1 1
38.60  1000  4 1 1
42.86  377  3 3 2
46.81  358  4 3 1
66.85  112  5 5 0
69.84  288  5 5 2
71.32  116  6 4 2
82.76  127  8 2 2

Structural model:
Cell lengths 9.8959, 9.8959, 9.8959 Å; angles 90.00, 90.00, 90.00 degrees
Space group I-43m (No. 217)
One atom of each set of equivalent atoms:
1 Al 0.1768 0.1768 0.1768 x8
2 W 0.0000 0.0000 0.0000 x2
3 W 0.0388 0.3577 0.6423 x24
4 W 0.0930 0.0930 0.7124 x24